Zr2SbPd6: theoretical PXRD pattern (copper Kα), based on DFT lattice parameters and positions (GGA-PBE).
Lines closer than 0.1° are merged.

Largest 6 diffraction maxima, in order of rising 2θ, 2θ from 5° to 70°:
| 2theta | I_rel | hkl |
| --- | --- | --- |
| 31.90 | 67 | 1 1 1 |
| 38.72 | 58 | 0 6 0 |
| 39.82 | 77 | 2 2 1 |
| 40.77 | 100 | 3 3 0 |
| 45.38 | 35 | 1 5 1 |
| 45.99 | 37 | 2 4 1 |

Atomic structure:
abc: 7.549 13.952 3.095
angles: 90.00 90.00 90.00
Space group Cmmm (No. 65)
One atom of each set of equivalent atoms:
Zr: 0.000 0.189 0.000 (multiplicity 4)
Sb: 0.000 0.500 0.500 (multiplicity 2)
Pd: 0.181 0.000 0.000 (multiplicity 4)
Pd: 0.190 0.339 0.500 (multiplicity 8)


Sc4Pd3: theoretical PXRD pattern (copper Kα), based on DFT lattice parameters and positions (GGA-PBE).
Lines closer than 0.1° are merged.

Largest 6 diffraction maxima, in order of rising 2θ, 2θ from 5° to 70°:
| 2theta | I_rel | hkl |
| --- | --- | --- |
| 11.79 | 29 | 0 0 3 |
| 22.48 | 18 | 1 0 1 |
| 27.27 | 21 | 1 0 4 |
| 38.82 | 100 | 1 1 0 |
| 39.06 | 97 | 0 1 8 |
| 56.25 | 32 | 2 0 8 |

Atomic structure:
abc: 4.6393 4.6393 22.5263
angles: 90.00 90.00 120.00
Space group R-3m (No. 166, hexagonal axes)
One atom of each set of equivalent atoms:
Sc: 0.0000 0.0000 0.1218 (multiplicity 6)
Sc: 0.0000 0.0000 0.3726 (multiplicity 6)
Pd: 0.0000 0.0000 0.2479 (multiplicity 6)
Pd: 0.0000 0.0000 0.5000 (multiplicity 3)


Sc3Pd4: theoretical PXRD pattern (copper Kα), based on DFT lattice parameters and positions (GGA-PBE).
Lines closer than 0.1° are merged.

Largest 6 diffraction maxima, in order of rising 2θ, 2θ from 5° to 70°:
| 2theta | I_rel | hkl |
| --- | --- | --- |
| 27.14 | 34 | 2 1 1 |
| 38.40 | 100 | 1 4 0 |
| 39.12 | 87 | 3 -2 2 |
| 39.98 | 12 | 3 2 1 |
| 55.98 | 23 | 4 2 2 |
| 69.93 | 20 | 8 -3 2 |

Atomic structure:
abc: 12.4048 12.4048 5.5912
angles: 90.00 90.00 120.00
Space group R-3 (No. 148, hexagonal axes)
One atom of each set of equivalent atoms:
Sc: 0.0415 0.2167 0.2221 (multiplicity 18)
Pd: 0.0000 0.0000 0.0000 (multiplicity 3)
Pd: 0.0000 0.0000 0.5000 (multiplicity 3)
Pd: 0.0489 0.2595 0.7079 (multiplicity 18)


Sc3Pd: theoretical PXRD pattern (copper Kα), based on DFT lattice parameters and positions (GGA-PBE).
Lines closer than 0.1° are merged.

Largest 6 diffraction maxima, in order of rising 2θ, 2θ from 5° to 70°:
| 2theta | I_rel | hkl |
| --- | --- | --- |
| 17.68 | 15 | 0 0 2 |
| 20.24 | 30 | 0 1 1 |
| 35.80 | 21 | 0 0 4 |
| 36.61 | 100 | 1 1 2 |
| 36.84 | 27 | 0 2 0 |
| 66.21 | 16 | 1 3 2 |

Atomic structure:
abc: 3.445 4.879 10.033
angles: 90.00 90.00 90.00
Space group Immm (No. 71)
One atom of each set of equivalent atoms:
Sc: 0.000 0.000 0.000 (multiplicity 2)
Sc: 0.000 0.500 0.213 (multiplicity 4)
Pd: 0.000 0.000 0.500 (multiplicity 2)


ScSiPd5: theoretical PXRD pattern (copper Kα), based on DFT lattice parameters and positions (GGA-PBE).
Lines closer than 0.1° are merged.

Largest 6 diffraction maxima, in order of rising 2θ, 2θ from 5° to 70°:
| 2theta | I_rel | hkl |
| --- | --- | --- |
| 31.77 | 21 | 1 1 0 |
| 34.32 | 33 | 1 1 1 |
| 38.57 | 20 | 0 0 3 |
| 41.13 | 100 | 1 1 2 |
| 45.55 | 46 | 2 0 0 |
| 61.17 | 20 | 2 0 3 |

Atomic structure:
abc: 3.983 3.983 7.003
angles: 90.00 90.00 90.00
Space group P4/mmm (No. 123)
One atom of each set of equivalent atoms:
Sc: 0.000 0.000 0.000 (multiplicity 1)
Si: 0.500 0.500 0.500 (multiplicity 1)
Pd: 0.000 0.500 0.294 (multiplicity 4)
Pd: 0.500 0.500 0.000 (multiplicity 1)


Sc3Si6Pd20: theoretical PXRD pattern (copper Kα), based on DFT lattice parameters and positions (GGA-PBE).
Lines closer than 0.1° are merged.

Largest 6 diffraction maxima, in order of rising 2θ, 2θ from 5° to 70°:
| 2theta | I_rel | hkl |
| --- | --- | --- |
| 32.86 | 15 | 4 2 0 |
| 38.37 | 100 | 3 3 3 |
| 41.92 | 21 | 4 4 0 |
| 43.94 | 41 | 5 3 1 |
| 44.60 | 19 | 6 0 0 |
| 64.91 | 18 | 6 6 0 |

Atomic structure:
abc: 12.190 12.190 12.190
angles: 90.00 90.00 90.00
Space group Fm-3m (No. 225)
One atom of each set of equivalent atoms:
Sc: 0.000 0.000 0.000 (multiplicity 4)
Sc: 0.250 0.250 0.250 (multiplicity 8)
Si: 0.000 0.000 0.269 (multiplicity 24)
Pd: 0.000 0.172 0.172 (multiplicity 48)
Pd: 0.120 0.120 0.380 (multiplicity 32)


ScSi2Pd4: theoretical PXRD pattern (copper Kα), based on DFT lattice parameters and positions (GGA-PBE).
Lines closer than 0.1° are merged.

Largest 6 diffraction maxima, in order of rising 2θ, 2θ from 5° to 70°:
| 2theta | I_rel | hkl |
| --- | --- | --- |
| 30.63 | 48 | 4 1 0 |
| 35.87 | 69 | 1 1 2 |
| 37.10 | 100 | 2 1 2 |
| 37.47 | 85 | 5 1 1 |
| 39.16 | 55 | 6 1 0 |
| 44.38 | 75 | 0 2 0 |

Atomic structure:
abc: 16.702 4.082 6.456
angles: 90.00 90.00 90.00
Space group Pnma (No. 62)
One atom of each set of equivalent atoms:
Sc: 0.142 0.250 0.043 (multiplicity 4)
Si: 0.042 0.750 0.252 (multiplicity 4)
Si: 0.215 0.250 0.572 (multiplicity 4)
Pd: 0.029 0.750 0.861 (multiplicity 4)
Pd: 0.071 0.250 0.509 (multiplicity 4)
Pd: 0.184 0.750 0.347 (multiplicity 4)
Pd: 0.200 0.750 0.777 (multiplicity 4)


SmSc2Pd3: theoretical PXRD pattern (copper Kα), based on DFT lattice parameters and positions (GGA-PBE).
Lines closer than 0.1° are merged.

Largest 6 diffraction maxima, in order of rising 2θ, 2θ from 5° to 70°:
| 2theta | I_rel | hkl |
| --- | --- | --- |
| 31.73 | 17 | 1 0 2 |
| 37.13 | 100 | 1 0 3 |
| 38.17 | 53 | 1 1 0 |
| 55.09 | 18 | 2 0 0 |
| 66.25 | 16 | 1 1 6 |
| 68.31 | 32 | 2 1 3 |

Atomic structure:
abc: 3.334 3.334 10.567
angles: 90.00 90.00 90.00
Space group P4/mmm (No. 123)
One atom of each set of equivalent atoms:
Sm: 0.000 0.000 0.000 (multiplicity 1)
Sc: 0.000 0.000 0.342 (multiplicity 2)
Pd: 0.500 0.500 0.198 (multiplicity 2)
Pd: 0.500 0.500 0.500 (multiplicity 1)


SmScPd: theoretical PXRD pattern (copper Kα), based on DFT lattice parameters and positions (GGA-PBE).
Lines closer than 0.1° are merged.

Largest 6 diffraction maxima, in order of rising 2θ, 2θ from 5° to 70°:
| 2theta | I_rel | hkl |
| --- | --- | --- |
| 31.09 | 100 | 1 1 1 |
| 34.33 | 95 | 2 0 1 |
| 37.59 | 37 | 0 0 2 |
| 43.55 | 31 | 3 0 0 |
| 58.86 | 25 | 3 0 2 |
| 68.46 | 23 | 3 2 1 |

Atomic structure:
abc: 7.1993 7.1993 4.7855
angles: 90.00 90.00 120.00
Space group P-62m (No. 189)
One atom of each set of equivalent atoms:
Sm: 0.0000 0.5940 0.0000 (multiplicity 3)
Sc: 0.0000 0.2584 0.5000 (multiplicity 3)
Pd: 0.0000 0.0000 0.0000 (multiplicity 1)
Pd: 0.3333 0.6667 0.5000 (multiplicity 2)


Sc3SnPd6: theoretical PXRD pattern (copper Kα), based on DFT lattice parameters and positions (GGA-PBE).
Lines closer than 0.1° are merged.

Largest 6 diffraction maxima, in order of rising 2θ, 2θ from 5° to 70°:
| 2theta | I_rel | hkl |
| --- | --- | --- |
| 36.92 | 100 | 4 2 0 |
| 38.17 | 62 | 1 5 1 |
| 39.46 | 32 | 2 0 2 |
| 41.67 | 52 | 2 2 2 |
| 43.27 | 33 | 0 6 1 |
| 47.26 | 47 | 4 4 1 |

Atomic structure:
abc: 10.429 13.765 5.081
angles: 90.00 90.00 90.00
Space group Cmc2_1 (No. 36)
One atom of each set of equivalent atoms:
Sc: 0.000 0.113 0.000 (multiplicity 4)
Sc: 0.196 0.403 0.624 (multiplicity 8)
Sn: 0.000 0.326 0.024 (multiplicity 4)
Pd: 0.000 0.244 0.529 (multiplicity 4)
Pd: 0.000 0.480 0.330 (multiplicity 4)
Pd: 0.135 0.054 0.516 (multiplicity 8)
Pd: 0.235 0.286 0.198 (multiplicity 8)


ScSn2Pd8: theoretical PXRD pattern (copper Kα), based on DFT lattice parameters and positions (GGA-PBE).
Lines closer than 0.1° are merged.

Largest 6 diffraction maxima, in order of rising 2θ, 2θ from 5° to 70°:
| 2theta | I_rel | hkl |
| --- | --- | --- |
| 38.07 | 97 | 5 1 -1 |
| 38.86 | 100 | 1 1 2 |
| 43.03 | 32 | 4 0 -3 |
| 43.55 | 37 | 0 2 0 |
| 47.47 | 26 | 6 0 1 |
| 62.89 | 20 | 4 2 -3 |

Atomic structure:
abc: 14.442 4.156 6.540
angles: 90.00 110.25 90.00
Space group C2/m (No. 12)
One atom of each set of equivalent atoms:
Sc: 0.000 0.000 0.000 (multiplicity 2)
Sn: 0.213 0.500 0.663 (multiplicity 4)
Pd: 0.037 0.500 0.730 (multiplicity 4)
Pd: 0.095 0.000 0.455 (multiplicity 4)
Pd: 0.146 0.500 0.202 (multiplicity 4)
Pd: 0.175 0.000 0.919 (multiplicity 4)


Sc2Sn2Pd5: theoretical PXRD pattern (copper Kα), based on DFT lattice parameters and positions (GGA-PBE).
Lines closer than 0.1° are merged.

Largest 6 diffraction maxima, in order of rising 2θ, 2θ from 5° to 70°:
| 2theta | I_rel | hkl |
| --- | --- | --- |
| 31.61 | 71 | 4 1 1 |
| 34.88 | 72 | 5 1 0 |
| 35.81 | 78 | 0 2 2 |
| 38.22 | 64 | 2 2 2 |
| 41.01 | 100 | 2 3 1 |
| 44.13 | 65 | 5 1 2 |

Atomic structure:
abc: 13.713 7.417 6.806
angles: 90.00 90.00 90.00
Space group Ima2 (No. 46)
One atom of each set of equivalent atoms:
Sc: 0.124 0.023 0.000 (multiplicity 8)
Sn: 0.000 0.000 0.601 (multiplicity 4)
Sn: 0.250 0.512 0.892 (multiplicity 4)
Pd: 0.034 0.189 0.279 (multiplicity 8)
Pd: 0.155 0.704 0.188 (multiplicity 8)
Pd: 0.250 0.183 0.730 (multiplicity 4)